No. 1
Computed powder X-ray diffraction pattern
Compound: PrHo5Th
Radiation: Cu Kα (weighted mean of Kα1 and Kα2)
Structure: a cell relaxed with GGA-PBE

Largest 8 diffraction maxima, in order of rising 2θ, 10 to 90 degrees two-theta:
index, 2theta, Rel. int.
1 -1 1, 21.80, 8
1 -2 1, 30.43, 12
2 0 -1, 31.63, 14
1 -1 2, 32.21, 100
1 1 1, 33.87, 9
2 -2 0, 34.55, 15
1 -3 2, 47.98, 10
2 0 -4, 57.48, 12

Structure:
```
data_PrHo5Th
_symmetry_space_group_name_H-M 'P -1'
_symmetry_Int_Tables_number 2
_symmetry_space_group_name_Hall '-P 1'
_cell_length_a 6.2331
_cell_length_b 6.2338
_cell_length_c 6.8909
_cell_angle_alpha 99.53
_cell_angle_beta 99.38
_cell_angle_gamma 112.82
loop_
_atom_site_label
_atom_site_fract_x
_atom_site_fract_y
_atom_site_fract_z
Pr1 0.0000 0.0000 0.0000
Ho1 0.0000 0.0000 0.5000
Ho2 0.0887 0.5286 0.7647
Ho3 0.4715 0.9115 0.2354
Th1 0.5000 0.5000 0.5000
```

***

No. 2
Computed powder X-ray diffraction pattern
Compound: Pr3Ho5Th2
Radiation: Cu Kα (weighted mean of Kα1 and Kα2)
Structure: a cell relaxed with GGA-PBE

Largest 8 diffraction maxima, in order of rising 2θ, 10 to 90 degrees two-theta:
index, 2theta, Rel. int.
0 4 0, 20.52, 19
2 4 0, 29.21, 67
2 2 1, 31.66, 100
0 4 2, 32.39, 21
4 0 -2, 33.15, 42
0 6 1, 33.45, 15
2 6 -1, 35.24, 25
2 10 1, 61.90, 21

Structure:
```
data_Pr3Ho5Th2
_symmetry_space_group_name_H-M 'C 1 2/c 1'
_symmetry_Int_Tables_number 15
_symmetry_space_group_name_Hall '-C 2yc'
_cell_length_a 10.8088
_cell_length_b 17.3249
_cell_length_c 8.9747
_cell_angle_alpha 90.00
_cell_angle_beta 126.88
_cell_angle_gamma 90.00
loop_
_atom_site_label
_atom_site_fract_x
_atom_site_fract_y
_atom_site_fract_z
Pr1 0.0000 0.2238 0.2500
Pr2 0.1452 0.1228 0.0388
Ho1 0.0000 0.0309 0.2500
Ho2 0.0000 0.2793 0.7500
Ho3 0.0000 0.4668 0.7500
Ho4 0.2499 0.1125 0.7521
Th1 0.1369 0.3802 0.5247
```

***

No. 3
Computed powder X-ray diffraction pattern
Compound: Pr10Ho6Th
Radiation: Cu Kα (weighted mean of Kα1 and Kα2)
Structure: a cell relaxed with GGA-PBE

Largest 8 diffraction maxima, in order of rising 2θ, 10 to 90 degrees two-theta:
index, 2theta, Rel. int.
2 0 1, 24.40, 6
3 -1 1, 30.47, 18
1 1 2, 31.35, 100
4 -2 2, 44.93, 16
3 2 1, 48.19, 7
2 -1 4, 55.66, 11
4 1 2, 55.86, 17
6 -1 1, 61.88, 6

Structure:
```
data_Pr10Ho6Th
_symmetry_space_group_name_H-M 'P -3 1 m'
_symmetry_Int_Tables_number 162
_symmetry_space_group_name_Hall '-P 3 2'
_cell_length_a 9.8689
_cell_length_b 9.8689
_cell_length_c 7.0090
_cell_angle_alpha 90.00
_cell_angle_beta 90.00
_cell_angle_gamma 120.00
loop_
_atom_site_label
_atom_site_fract_x
_atom_site_fract_y
_atom_site_fract_z
Pr1 0.0000 0.2778 0.3225
Pr2 0.3333 0.6667 0.0000
Pr3 0.3333 0.6667 0.5000
Ho1 0.0000 0.3625 0.8200
Th1 0.0000 0.0000 0.0000
```

***

No. 4
Computed powder X-ray diffraction pattern
Compound: PrHo6Th4
Radiation: Cu Kα (weighted mean of Kα1 and Kα2)
Structure: a cell relaxed with GGA-PBE

Largest 8 diffraction maxima, in order of rising 2θ, 10 to 90 degrees two-theta:
index, 2theta, Rel. int.
1 0 3, 27.05, 27
1 0 5, 28.87, 19
0 2 0, 30.45, 56
0 1 11, 31.47, 100
1 1 6, 33.80, 35
1 1 8, 36.39, 46
0 3 11, 54.76, 20
0 4 0, 63.33, 33

Structure:
```
data_PrHo6Th4
_symmetry_space_group_name_H-M 'I m m m'
_symmetry_Int_Tables_number 71
_symmetry_space_group_name_Hall '-I 2 2'
_cell_length_a 3.4309
_cell_length_b 5.8708
_cell_length_c 35.7371
_cell_angle_alpha 90.00
_cell_angle_beta 90.00
_cell_angle_gamma 90.00
loop_
_atom_site_label
_atom_site_fract_x
_atom_site_fract_y
_atom_site_fract_z
Pr1 0.0000 0.0000 0.0000
Ho1 0.0000 0.5000 0.1317
Ho2 0.0000 0.5000 0.2329
Ho3 0.0000 0.5000 0.4028
Th1 0.0000 0.0000 0.1826
Th2 0.0000 0.0000 0.4551
```

***

No. 5
Computed powder X-ray diffraction pattern
Compound: Pr6Ho3Th2
Radiation: Cu Kα (weighted mean of Kα1 and Kα2)
Structure: a cell relaxed with GGA-PBE

Largest 8 diffraction maxima, in order of rising 2θ, 10 to 90 degrees two-theta:
index, 2theta, Rel. int.
1 3 1, 30.38, 100
0 0 4, 30.92, 32
2 0 2, 35.38, 67
3 3 -1, 50.56, 16
1 3 5, 51.25, 23
4 0 0, 60.13, 15
3 3 3, 60.46, 19
2 0 6, 61.07, 14

Structure:
```
data_Pr6Ho3Th2
_symmetry_space_group_name_H-M 'C 1 2/m 1'
_symmetry_Int_Tables_number 12
_symmetry_space_group_name_Hall '-C 2y'
_cell_length_a 6.2520
_cell_length_b 10.8369
_cell_length_c 11.7603
_cell_angle_alpha 90.00
_cell_angle_beta 100.32
_cell_angle_gamma 90.00
loop_
_atom_site_label
_atom_site_fract_x
_atom_site_fract_y
_atom_site_fract_z
Pr1 0.2485 0.1663 0.2463
Pr2 0.2493 0.5000 0.2467
Ho1 0.0000 0.1657 0.5000
Ho2 0.0000 0.5000 0.5000
Th1 0.0000 0.3334 0.0000
```

***

No. 6
Computed powder X-ray diffraction pattern
Compound: Pr5Ho4Th2
Radiation: Cu Kα (weighted mean of Kα1 and Kα2)
Structure: a cell relaxed with GGA-PBE

Largest 8 diffraction maxima, in order of rising 2θ, 10 to 90 degrees two-theta:
index, 2theta, Rel. int.
3 0 -1, 30.43, 100
1 1 -2, 30.73, 57
1 0 -4, 31.07, 98
2 0 3, 31.36, 97
1 1 2, 31.49, 49
2 1 0, 32.31, 49
2 1 1, 33.56, 42
3 2 -1, 61.20, 35

Structure:
```
data_Pr5Ho4Th2
_symmetry_space_group_name_H-M 'P 1 2/m 1'
_symmetry_Int_Tables_number 10
_symmetry_space_group_name_Hall '-P 2y'
_cell_length_a 8.9467
_cell_length_b 3.5363
_cell_length_c 11.8903
_cell_angle_alpha 90.00
_cell_angle_beta 94.34
_cell_angle_gamma 90.00
loop_
_atom_site_label
_atom_site_fract_x
_atom_site_fract_y
_atom_site_fract_z
Pr1 0.0000 0.0000 0.0000
Pr2 0.0755 0.0000 0.2928
Pr3 0.3099 0.0000 0.8361
Ho1 0.2008 0.5000 0.5482
Ho2 0.3387 0.5000 0.1085
Th1 0.4570 0.0000 0.3675
```

***

No. 7
Computed powder X-ray diffraction pattern
Compound: Pr2Ho4Th3
Radiation: Cu Kα (weighted mean of Kα1 and Kα2)
Structure: a cell relaxed with GGA-PBE

Largest 8 diffraction maxima, in order of rising 2θ, 10 to 90 degrees two-theta:
index, 2theta, Rel. int.
1 0 0, 28.84, 42
0 0 9, 30.06, 45
0 1 4, 31.86, 59
1 0 5, 33.44, 100
1 0 9, 42.14, 27
1 1 0, 51.11, 35
0 1 14, 56.60, 30
1 1 9, 60.44, 38

Structure:
```
data_Pr2Ho4Th3
_symmetry_space_group_name_H-M 'P 3 m 1'
_symmetry_Int_Tables_number 156
_symmetry_space_group_name_Hall 'P 3 -2"'
_cell_length_a 3.5743
_cell_length_b 3.5743
_cell_length_c 26.7560
_cell_angle_alpha 90.00
_cell_angle_beta 90.00
_cell_angle_gamma 120.00
loop_
_atom_site_label
_atom_site_fract_x
_atom_site_fract_y
_atom_site_fract_z
Pr1 0.0000 0.0000 0.0000
Pr2 0.0000 0.0000 0.2236
Ho1 0.0000 0.0000 0.3513
Ho2 0.0000 0.0000 0.5665
Ho3 0.3333 0.6667 0.6717
Ho4 0.3333 0.6667 0.8877
Th1 0.0000 0.0000 0.7803
Th2 0.3333 0.6667 0.1130
Th3 0.3333 0.6667 0.4565
```

***

No. 8
Computed powder X-ray diffraction pattern
Compound: Pr12Ho2Th
Radiation: Cu Kα (weighted mean of Kα1 and Kα2)
Structure: a cell relaxed with GGA-PBE

Largest 8 diffraction maxima, in order of rising 2θ, 10 to 90 degrees two-theta:
index, 2theta, Rel. int.
2 0 4, 28.45, 39
0 2 7, 28.99, 66
2 2 2, 29.86, 83
0 4 0, 30.38, 100
2 2 3, 30.92, 31
0 2 8, 32.12, 88
2 2 4, 32.33, 71
2 2 6, 36.12, 54

Structure:
```
data_Pr12Ho2Th
_symmetry_space_group_name_H-M 'C m m e'
_symmetry_Int_Tables_number 67
_symmetry_space_group_name_Hall '-C 2a 2'
_cell_length_a 7.2267
_cell_length_b 11.7679
_cell_length_c 25.3084
_cell_angle_alpha 90.00
_cell_angle_beta 90.00
_cell_angle_gamma 90.00
loop_
_atom_site_label
_atom_site_fract_x
_atom_site_fract_y
_atom_site_fract_z
Pr1 0.0000 0.0023 0.0731
Pr2 0.0000 0.0248 0.5600
Pr3 0.2310 0.2500 0.4135
Pr4 0.2485 0.2500 0.8735
Pr5 0.2500 0.0000 0.1996
Pr6 0.2500 0.0000 0.3240
Ho1 0.0000 0.2500 0.2665
Ho2 0.0000 0.2500 0.7299
Th1 0.0000 0.2500 0.9988
```